1.
This entry pairs a crystal structure of Li2ZnPb with its calculated powder XRD pattern. Radiation: Cu Kα X-rays. Structure: a crystal structure in the Materials Project, relaxed with GGA-PBE.

Main lines, in order of rising 2θ (2θ from 15° to 90°):
Position (°2θ), Rel. int.
23.0, 100
26.6, 21
38.0, 79
44.9, 53
60.3, 23
68.7, 28

Cell and atoms:
Lattice parameters (Å, degrees): 4.7340 4.7340 4.7340 60.00 60.00 60.00
Positions (direct):
Li1 0.0000 0.0000 0.0000
Li2 0.2500 0.2500 0.2500
Zn1 0.5000 0.5000 0.5000
Pb1 0.7500 0.7500 0.7500

=====

2.
This entry pairs a crystal structure of LiZr2Pb with its calculated powder XRD pattern. Radiation: Cu Kα X-rays. Structure: a crystal structure in the Materials Project, relaxed with GGA-PBE.

Main lines, in order of rising 2θ (2θ from 15° to 90°):
Position (°2θ), Rel. int.
31.9, 24
33.1, 43
34.5, 26
36.4, 100
41.4, 24
68.2, 21

Cell and atoms:
Lattice parameters (Å, degrees): 3.2384 3.2384 10.4076 90.00 90.00 120.00
Positions (direct):
Li1 0.0000 0.0000 0.0000
Zr1 0.6667 0.3333 0.2512
Zr2 0.6667 0.3333 0.7488
Pb1 0.0000 0.0000 0.5000

=====

3.
This entry pairs a crystal structure of LiPd3 with its calculated powder XRD pattern. Radiation: Cu Kα X-rays. Structure: a crystal structure in the Materials Project, relaxed with GGA-PBE.

Main lines, in order of rising 2θ (2θ from 15° to 90°):
Position (°2θ), Rel. int.
22.8, 33
32.5, 26
40.0, 100
46.6, 48
68.0, 30
81.9, 36

Cell and atoms:
Lattice parameters (Å, degrees): 3.9016 3.9016 3.9016 90.00 90.00 90.00
Positions (direct):
Li1 0.0000 0.0000 0.0000
Pd1 0.0000 0.5000 0.5000
Pd2 0.5000 0.0000 0.5000
Pd3 0.5000 0.5000 0.0000

=====

4.
This entry pairs a crystal structure of LiPd7 with its calculated powder XRD pattern. Radiation: Cu Kα X-rays. Structure: a crystal structure in the Materials Project, relaxed with GGA-PBE.

Main lines, in order of rising 2θ (2θ from 15° to 90°):
Position (°2θ), Rel. int.
19.6, 11
39.8, 100
46.3, 48
67.5, 30
81.3, 36
85.8, 11

Cell and atoms:
Lattice parameters (Å, degrees): 5.5487 5.5487 5.5487 60.00 60.00 60.00
Positions (direct):
Li1 0.0000 0.0000 0.0000
Pd1 0.0000 0.0000 0.5000
Pd2 0.0000 0.5000 0.0000
Pd3 0.0000 0.5000 0.5000
Pd4 0.5000 0.0000 0.0000
Pd5 0.5000 0.0000 0.5000
Pd6 0.5000 0.5000 0.0000
Pd7 0.5000 0.5000 0.5000

=====

5.
This entry pairs a crystal structure of LiPd with its calculated powder XRD pattern. Radiation: Cu Kα X-rays. Structure: a crystal structure in the Materials Project, relaxed with GGA-PBE.

Main lines, in order of rising 2θ (2θ from 15° to 90°):
Position (°2θ), Rel. int.
21.2, 81
37.1, 60
43.1, 100
58.1, 31
79.0, 20
82.9, 25

Cell and atoms:
Lattice parameters (Å, degrees): 2.7999 2.7999 4.1954 90.00 90.00 120.00
Positions (direct):
Li1 0.0000 0.0000 0.0000
Pd1 0.3333 0.6667 0.5000

=====

6.
This entry pairs a crystal structure of LiPd with its calculated powder XRD pattern. Radiation: Cu Kα X-rays. Structure: a crystal structure in the Materials Project, relaxed with GGA-PBE.

Main lines, in order of rising 2θ (2θ from 15° to 90°):
Position (°2θ), Rel. int.
29.8, 100
42.6, 90
52.8, 26
61.8, 15
70.1, 33
77.9, 29

Cell and atoms:
Lattice parameters (Å, degrees): 3.0025 3.0025 3.0025 90.00 90.00 90.00
Positions (direct):
Li1 0.0000 0.0000 0.0000
Pd1 0.5000 0.5000 0.5000